No. 1
Theoretical powder XRD pattern
Compound: NaCu2I4
Radiation: Cu Kα X-rays
Structure: a structure optimized by DFT (PBE)

Crystal structure
abc: 5.9324 5.9324 7.4679
angles: 90.00 90.00 90.00
Positions (direct):
Na 0.0000 0.0000 0.0000
Cu 0.0000 0.5000 0.5000
Cu 0.5000 0.0000 0.5000
I 0.2591 0.2591 0.2928
I 0.2591 0.7409 0.7072
I 0.7409 0.2591 0.7072
I 0.7409 0.7409 0.2928

Most intense lines, 2θ = 10–90°, low angle first:
(hkl)  d (Å)  intensity
0 0 1  7.468  31
1 1 1  3.657  100
2 0 0  2.966  12
1 1 2  2.789  15
2 0 2  2.323  39
1 1 3  2.141  13
2 2 0  2.097  18
2 0 3  1.907  14
3 1 1  1.819  27
4 2 2  1.250  10

---

No. 2
Theoretical powder XRD pattern
Compound: NaCuSI
Radiation: Cu Kα X-rays
Structure: a structure optimized by DFT (PBE)

Crystal structure
abc: 3.9858 3.9858 5.6253
angles: 90.00 90.00 90.00
Positions (direct):
Na 0.0000 0.0000 0.0000
Cu 0.5000 0.5000 0.5000
S 0.5000 0.5000 0.0000
I 0.0000 0.0000 0.5000

Most intense lines, 2θ = 10–90°, low angle first:
(hkl)  d (Å)  intensity
0 0 1  5.625  51
1 0 1  3.252  13
1 1 0  2.816  100
1 1 1  2.520  29
2 0 0  1.992  71
2 0 1  1.878  15
2 0 2  1.626  24
3 1 0  1.260  20
1 1 4  1.258  10
3 1 2  1.150  15

---

No. 3
Theoretical powder XRD pattern
Compound: NaTlCuI3
Radiation: Cu Kα X-rays
Structure: a structure optimized by DFT (PBE)

Crystal structure
abc: 10.0812 4.4223 10.1109
angles: 90.00 103.83 90.00
Positions (direct):
Na 0.1564 0.2500 0.1418
Na 0.8436 0.7500 0.8582
Tl 0.3133 0.7500 0.7911
Tl 0.6867 0.2500 0.2089
Cu 0.4370 0.7500 0.4302
Cu 0.5630 0.2500 0.5698
I 0.0590 0.2500 0.8191
I 0.2974 0.2500 0.4791
I 0.3934 0.7500 0.1547
I 0.6066 0.2500 0.8453
I 0.7026 0.7500 0.5209
I 0.9410 0.7500 0.1809

Most intense lines, 2θ = 10–90°, low angle first:
(hkl)  d (Å)  intensity
1 0 1  6.227  18
1 1 1  3.606  14
1 0 -3  3.353  13
2 1 -1  3.277  100
0 0 3  3.270  46
2 1 2  2.546  16
4 0 -1  2.520  14
0 2 0  2.211  17
2 1 -4  2.136  16
0 2 3  1.832  24